Diffraction record for TcRh2. The powder diffractogram is simulated, not measured: it uses a GGA-PBE-relaxed structure and Cu Kα.
Intensities are scaled so that the largest is 100.

```
TcRh2
1.0
4.7383 0.0000 0.0000
0.0000 4.3556 0.0000
0.0000 0.0000 8.2529
Tc Rh
4 8
Direct
0.1717 0.2500 0.1678
0.3283 0.7500 0.6678
0.6717 0.2500 0.3322
0.8283 0.7500 0.8322
0.1631 0.2500 0.8346
0.1697 0.2500 0.4990
0.3303 0.7500 0.9990
0.3369 0.7500 0.3346
0.6631 0.2500 0.6654
0.6697 0.2500 0.0010
0.8303 0.7500 0.5010
0.8369 0.7500 0.1654
```

Peak list (10 most intense, 2θ = 10–90°, sorted by position)
| (hkl) | 2θ (°) | I/Imax |
| --- | --- | --- |
| 1 0 3 | 37.8 | 23.6 |
| 2 0 0 | 38.0 | 12.8 |
| 0 2 0 | 41.5 | 37.5 |
| 1 1 3 | 43.3 | 100.0 |
| 2 1 0 | 43.5 | 47.9 |
| 1 2 3 | 57.4 | 13.7 |
| 3 0 3 | 68.5 | 16.3 |
| 1 3 3 | 76.9 | 17.7 |
| 3 2 3 | 83.3 | 18.9 |
| 2 1 6 | 84.4 | 13.5 |